This entry pairs a crystal structure of TbFe12Si6 with its simulated X-ray powder pattern. Radiation: CuKα. Structure: the GGA-PBE geometry in Alexandria.
Kinematic intensities with the Lorentz-polarization factor, no thermal factor.

Largest 6 diffraction maxima, sorted by position, 2θ from 15° to 90°:
d [Å]	Position (°2θ)	I_rel
3.004	29.7	17
2.384	37.7	100
2.358	38.2	53
2.115	42.8	28
1.816	50.3	19
1.641	56.0	27

Structure:
abc: 6.564 6.564 6.564
angles: 104.86 104.86 104.86
Fractional coordinates of all 19 atoms:
1 Tb 0.000 0.000 0.000
2 Fe 0.122 0.500 0.878
3 Fe 0.122 0.878 0.500
4 Fe 0.164 0.432 0.432
5 Fe 0.432 0.164 0.432
6 Fe 0.432 0.432 0.164
7 Fe 0.500 0.122 0.878
8 Fe 0.500 0.878 0.122
9 Fe 0.568 0.568 0.836
10 Fe 0.568 0.836 0.568
11 Fe 0.836 0.568 0.568
12 Fe 0.878 0.122 0.500
13 Fe 0.878 0.500 0.122
14 Si 0.248 0.248 0.710
15 Si 0.248 0.710 0.248
16 Si 0.290 0.752 0.752
17 Si 0.710 0.248 0.248
18 Si 0.752 0.290 0.752
19 Si 0.752 0.752 0.290